Structure and theoretical X-ray powder pattern of LiVOF2 (a GGA+U-relaxed structure; Cu Ka).
No peak broadening, texture or thermal motion is included.

Top 8 peaks for 5 to 70 degrees two-theta, in order of rising 2θ:
hkl 0 1 -1, 13.18°, I 59; hkl 0 0 2, 17.51°, I 100; hkl 1 1 -1, 20.90°, I 15; hkl 1 -2 0, 25.58°, I 16; hkl 1 2 0, 25.76°, I 15; hkl 1 -3 3, 43.55°, I 29; hkl -1 3 3, 43.69°, I 24; hkl 1 3 3, 43.93°, I 16

Structural model:
```
data_LiVOF2
_chemical_formula_sum 'Li8 V8 O8 F16'
_cell_length_a 5.4758
_cell_length_b 8.9729
_cell_length_c 10.1296
_cell_angle_alpha 90.39
_cell_angle_beta 90.20
_cell_angle_gamma 90.39
_symmetry_space_group_name_H-M 'P 1'
_symmetry_Int_Tables_number 1
loop_
_symmetry_equiv_pos_as_xyz
'x,y,z'
loop_
_atom_site_label
_atom_site_type_symbol
_atom_site_fract_x
_atom_site_fract_y
_atom_site_fract_z
Li1 Li 0.0000 0.0000 0.0000
Li2 Li 0.0012 0.4897 0.0731
Li3 Li 0.0702 0.3328 0.4837
Li4 Li 0.0751 0.8252 0.5809
Li5 Li 0.4874 0.3178 0.0814
Li6 Li 0.5040 0.8298 0.9982
Li7 Li 0.5653 0.4887 0.4842
Li8 Li 0.5740 0.9863 0.5964
V1 V 0.2694 0.1494 0.7998
V2 V 0.2797 0.9952 0.2854
V3 V 0.2900 0.5052 0.7991
V4 V 0.2948 0.6570 0.2802
V5 V 0.7663 0.1724 0.2792
V6 V 0.7760 0.6712 0.8003
V7 V 0.7863 0.3159 0.7992
V8 V 0.8028 0.8289 0.2839
O1 O 0.1144 0.8179 0.3856
O2 O 0.4402 0.3248 0.8796
O3 O 0.4543 0.1554 0.2056
O4 O 0.4611 0.8266 0.1970
O5 O 0.4673 0.6568 0.8830
O6 O 0.9382 0.0014 0.1926
O7 O 0.9441 0.4966 0.8788
O8 O 0.9602 0.1640 0.8805
F1 F 0.1014 0.1471 0.3989
F2 F 0.1142 0.6470 0.6802
F3 F 0.1156 0.3234 0.6740
F4 F 0.2313 0.5014 0.4203
F5 F 0.2426 0.9903 0.6605
F6 F 0.3412 0.4938 0.1512
F7 F 0.3469 0.9995 0.9377
F8 F 0.6073 0.1743 0.6778
F9 F 0.6167 0.4962 0.6742
F10 F 0.6245 0.9909 0.4065
F11 F 0.6301 0.6573 0.3807
F12 F 0.7403 0.3284 0.4207
F13 F 0.7426 0.8200 0.6552
F14 F 0.8310 0.3300 0.1431
F15 F 0.8495 0.8283 0.9338
F16 F 0.9738 0.6699 0.1749
```